(1)
# LiMo
Calculated powder XRD pattern, a wavelength of 1.5418 Å. Input: a PBE-relaxed structure.
Intensities are scaled so that the largest is 100.

Most intense lines, 10 to 90 degrees two-theta, low angle first:
2θ = 17.7°, I = 100
2θ = 35.9°, I = 21
2θ = 38.8°, I = 43
2θ = 43.0°, I = 70
2θ = 53.9°, I = 32
2θ = 69.4°, I = 16
2θ = 70.3°, I = 8
2θ = 73.1°, I = 12
2θ = 81.5°, I = 11
2θ = 86.0°, I = 9

Atomic structure:
Cell lengths 2.6789, 2.6789, 5.0021 Å; angles 90.00, 90.00, 120.00 degrees
Fractional coordinates of all 2 atoms:
1 Li 0.0000 0.0000 0.0000
2 Mo 0.6667 0.3333 0.5000

***

(2)
# Li3Mo4
Calculated powder XRD pattern, a wavelength of 1.5418 Å. Input: a PBE-relaxed structure.
Intensities are scaled so that the largest is 100.

Most intense lines, 10 to 90 degrees two-theta, low angle first:
2θ = 17.5°, I = 47
2θ = 21.6°, I = 19
2θ = 28.0°, I = 12
2θ = 37.9°, I = 74
2θ = 42.0°, I = 100
2θ = 57.8°, I = 21
2θ = 68.4°, I = 12
2θ = 71.2°, I = 33
2θ = 80.9°, I = 9
2θ = 87.4°, I = 12

Atomic structure:
Cell lengths 4.7512, 4.7512, 5.0572 Å; angles 90.00, 90.00, 120.00 degrees
Fractional coordinates of all 7 atoms:
1 Li 0.0000 0.5000 0.0000
2 Li 0.5000 0.0000 0.0000
3 Li 0.5000 0.5000 0.0000
4 Mo 0.0000 0.0000 0.2662
5 Mo 0.0000 0.0000 0.7338
6 Mo 0.3333 0.6667 0.5000
7 Mo 0.6667 0.3333 0.5000

***

(3)
# Li2MoN2
Calculated powder XRD pattern, a wavelength of 1.5418 Å. Input: a PBE-relaxed structure.
Intensities are scaled so that the largest is 100.

Most intense lines, 10 to 90 degrees two-theta, low angle first:
2θ = 11.1°, I = 100
2θ = 22.3°, I = 9
2θ = 35.1°, I = 7
2θ = 35.6°, I = 6
2θ = 37.7°, I = 5
2θ = 38.3°, I = 10
2θ = 39.6°, I = 5
2θ = 43.5°, I = 5
2θ = 44.4°, I = 9
2θ = 62.5°, I = 5

Atomic structure:
Cell lengths 2.9718, 2.9718, 8.1912 Å; angles 101.81, 101.81, 59.99 degrees
Fractional coordinates of all 5 atoms:
1 Li 0.0593 0.0593 0.2144
2 Li 0.9407 0.9407 0.7856
3 Mo 0.5000 0.5000 0.5000
4 N 0.2263 0.2263 0.6585
5 N 0.7737 0.7737 0.3415

***

(4)
# Li5MoN4
Calculated powder XRD pattern, a wavelength of 1.5418 Å. Input: a PBE-relaxed structure.
Intensities are scaled so that the largest is 100.

Most intense lines, 10 to 90 degrees two-theta, low angle first:
2θ = 18.5°, I = 77
2θ = 22.3°, I = 100
2θ = 26.3°, I = 24
2θ = 32.0°, I = 12
2θ = 34.7°, I = 55
2θ = 41.2°, I = 13
2θ = 42.2°, I = 13
2θ = 44.1°, I = 20
2θ = 52.1°, I = 11
2θ = 53.3°, I = 19

Atomic structure:
Cell lengths 6.7719, 6.7865, 4.9326 Å; angles 90.00, 90.00, 90.00 degrees
Fractional coordinates of all 20 atoms:
1 Li 0.0531 0.0119 0.2467
2 Li 0.0531 0.4881 0.2467
3 Li 0.2500 0.7500 0.7067
4 Li 0.4469 0.0119 0.2467
5 Li 0.4469 0.4881 0.2467
6 Li 0.5531 0.5119 0.7533
7 Li 0.5531 0.9881 0.7533
8 Li 0.7500 0.2500 0.2933
9 Li 0.9469 0.5119 0.7533
10 Li 0.9469 0.9881 0.7533
11 Mo 0.2500 0.2500 0.7210
12 Mo 0.7500 0.7500 0.2790
13 N 0.0171 0.2500 0.5134
14 N 0.2500 0.0191 0.9292
15 N 0.2500 0.4809 0.9292
16 N 0.4829 0.2500 0.5134
17 N 0.5171 0.7500 0.4866
18 N 0.7500 0.5191 0.0708
19 N 0.7500 0.9809 0.0708
20 N 0.9829 0.7500 0.4866

***

(5)
# Li2Nb2MoN6
Calculated powder XRD pattern, a wavelength of 1.5418 Å. Input: a PBE-relaxed structure.
Intensities are scaled so that the largest is 100.

Most intense lines, 10 to 90 degrees two-theta, low angle first:
2θ = 17.2°, I = 100
2θ = 34.2°, I = 44
2θ = 35.8°, I = 17
2θ = 41.0°, I = 33
2θ = 41.4°, I = 16
2θ = 45.1°, I = 11
2θ = 53.7°, I = 10
2θ = 59.2°, I = 10
2θ = 60.2°, I = 10
2θ = 63.2°, I = 11

Atomic structure:
Cell lengths 5.3203, 5.3203, 5.4371 Å; angles 99.06, 99.06, 119.84 degrees
Fractional coordinates of all 11 atoms:
1 Li 0.1657 0.8343 0.0000
2 Li 0.8343 0.1657 0.0000
3 Nb 0.3331 0.6669 0.5000
4 Nb 0.6669 0.3331 0.5000
5 Mo 0.0000 0.0000 0.5000
6 N 0.0625 0.3957 0.7154
7 N 0.2499 0.2499 0.2881
8 N 0.3957 0.0625 0.7154
9 N 0.6043 0.9375 0.2846
10 N 0.7501 0.7501 0.7119
11 N 0.9375 0.6043 0.2846

***

(6)
# Li2PmMoN4
Calculated powder XRD pattern, a wavelength of 1.5418 Å. Input: a PBE-relaxed structure.
Intensities are scaled so that the largest is 100.

Most intense lines, 10 to 90 degrees two-theta, low angle first:
2θ = 22.5°, I = 72
2θ = 24.6°, I = 100
2θ = 33.6°, I = 79
2θ = 33.9°, I = 28
2θ = 36.3°, I = 28
2θ = 41.1°, I = 23
2θ = 43.1°, I = 25
2θ = 52.8°, I = 23
2θ = 55.9°, I = 17
2θ = 63.5°, I = 17

Atomic structure:
Cell lengths 7.8973, 5.2909, 4.9543 Å; angles 90.00, 90.00, 90.00 degrees
Fractional coordinates of all 16 atoms:
1 Li 0.2488 0.2136 0.0000
2 Li 0.2512 0.7864 0.5000
3 Li 0.7488 0.7864 0.5000
4 Li 0.7512 0.2136 0.0000
5 Pm 0.0000 0.2289 0.4930
6 Pm 0.5000 0.7711 0.9930
7 Mo 0.0000 0.6905 0.0271
8 Mo 0.5000 0.3095 0.5271
9 N 0.0000 0.3416 0.9701
10 N 0.0000 0.7072 0.4012
11 N 0.2040 0.8391 0.9055
12 N 0.2960 0.1609 0.4055
13 N 0.5000 0.2928 0.9012
14 N 0.5000 0.6584 0.4701
15 N 0.7040 0.1609 0.4055
16 N 0.7960 0.8391 0.9055

***

(7)
# Li2PrMoN4
Calculated powder XRD pattern, a wavelength of 1.5418 Å. Input: a PBE-relaxed structure.
Intensities are scaled so that the largest is 100.

Most intense lines, 10 to 90 degrees two-theta, low angle first:
2θ = 22.5°, I = 71
2θ = 24.3°, I = 100
2θ = 33.4°, I = 81
2θ = 33.9°, I = 27
2θ = 35.4°, I = 29
2θ = 41.1°, I = 27
2θ = 42.3°, I = 32
2θ = 52.7°, I = 22
2θ = 55.3°, I = 17
2θ = 62.2°, I = 18

Atomic structure:
Cell lengths 7.8962, 5.2846, 5.0742 Å; angles 90.00, 90.00, 90.00 degrees
Fractional coordinates of all 16 atoms:
1 Li 0.2478 0.2150 0.0000
2 Li 0.2522 0.7850 0.5000
3 Li 0.7478 0.7850 0.5000
4 Li 0.7522 0.2150 0.0000
5 Pr 0.0000 0.2236 0.4948
6 Pr 0.5000 0.7764 0.9948
7 Mo 0.0000 0.6938 0.0217
8 Mo 0.5000 0.3062 0.5217
9 N 0.0000 0.3446 0.9671
10 N 0.0000 0.7159 0.3871
11 N 0.2004 0.8431 0.8909
12 N 0.2996 0.1569 0.3909
13 N 0.5000 0.2841 0.8871
14 N 0.5000 0.6554 0.4671
15 N 0.7004 0.1569 0.3909
16 N 0.7996 0.8431 0.8909

***

(8)
# Li2MoWN4
Calculated powder XRD pattern, a wavelength of 1.5418 Å. Input: a PBE-relaxed structure.
Intensities are scaled so that the largest is 100.

Most intense lines, 10 to 90 degrees two-theta, low angle first:
2θ = 17.1°, I = 100
2θ = 34.6°, I = 13
2θ = 35.4°, I = 46
2θ = 36.8°, I = 22
2θ = 36.9°, I = 11
2θ = 42.0°, I = 15
2θ = 42.2°, I = 31
2θ = 45.7°, I = 14
2θ = 59.5°, I = 10
2θ = 65.3°, I = 11

Atomic structure:
Cell lengths 5.1399, 2.9715, 5.4770 Å; angles 90.00, 108.65, 90.00 degrees
Fractional coordinates of all 8 atoms:
1 Li 0.0000 0.0000 0.0000
2 Li 0.5000 0.5000 0.0000
3 Mo 0.0000 0.5000 0.5000
4 W 0.5000 0.0000 0.5000
5 N 0.2465 0.0000 0.7299
6 N 0.2610 0.5000 0.2696
7 N 0.7390 0.5000 0.7304
8 N 0.7535 0.0000 0.2701